For LaP3O7, a cell relaxed with PBE gives the simulated powder diffraction line list in this record (Cu Ka).
Neutral-atom scattering factors, no anomalous dispersion.

Atomic structure:
abc: 6.935 8.298 9.116
angles: 114.91 95.52 97.92
Fractional coordinates of all 22 atoms:
La (0.119, 0.336, 0.274)
La (0.881, 0.664, 0.726)
P (0.016, 0.159, 0.804)
P (0.327, 0.632, 0.691)
P (0.456, 0.287, 0.677)
P (0.544, 0.713, 0.323)
P (0.673, 0.368, 0.309)
P (0.984, 0.841, 0.196)
O (0.066, 0.045, 0.276)
O (0.106, 0.233, 0.985)
O (0.185, 0.617, 0.543)
O (0.230, 0.699, 0.843)
O (0.313, 0.406, 0.640)
O (0.339, 0.603, 0.248)
O (0.458, 0.291, 0.296)
O (0.542, 0.709, 0.704)
O (0.661, 0.397, 0.752)
O (0.687, 0.594, 0.360)
O (0.770, 0.301, 0.157)
O (0.815, 0.383, 0.457)
O (0.894, 0.767, 0.015)
O (0.934, 0.955, 0.724)

The 6 most intense peaks (15° ≤ 2θ ≤ 90°), sorted by position:
d/Å, 2theta, intensity, hkl
5.068, 17.50, 282, 1 -1 1
4.109, 21.63, 493, 0 2 -1
4.073, 21.82, 1000, 0 0 2
3.335, 26.73, 728, 2 -1 0
3.321, 26.84, 332, 1 2 -1
3.018, 29.60, 396, 0 1 -3